The following is a theoretical powder diffraction line list of Cu3Cl4. It was derived from a crystal structure in OQMD, relaxed with PBE, using a wavelength of 1.5418 Å.

Cell and atoms:
Cell: 5.3191 5.3191 5.3191 Å, 90.00 90.00 90.00°
Atoms (fractional coordinates):
Cu (0.0000, 0.0000, 0.5000)
Cu (0.0000, 0.5000, 0.0000)
Cu (0.5000, 0.0000, 0.0000)
Cl (0.2490, 0.2490, 0.7510)
Cl (0.2490, 0.7510, 0.2490)
Cl (0.7510, 0.2490, 0.2490)
Cl (0.7510, 0.7510, 0.7510)

Principal peaks in the range 2θ = 10–90°, most intense first:
29.08°, rel. 100
48.40°, rel. 63
57.46°, rel. 38
16.67°, rel. 22
23.66°, rel. 19
78.36°, rel. 14
37.82°, rel. 11
70.86°, rel. 9

The following is a theoretical powder diffraction line list of Cu2Cl. It was derived from a crystal structure in OQMD, relaxed with PBE, using a wavelength of 1.5418 Å.

Cell and atoms:
Cell: 5.0604 5.0604 5.0604 Å, 60.00 60.00 60.00°
Atoms (fractional coordinates):
Cu (0.0000, 0.0000, 0.0000)
Cu (0.0000, 0.0000, 0.5000)
Cu (0.0000, 0.5000, 0.0000)
Cu (0.5000, 0.0000, 0.0000)
Cl (0.3750, 0.3750, 0.3750)
Cl (0.6250, 0.6250, 0.6250)

Principal peaks in the range 2θ = 10–90°, most intense first:
41.87°, rel. 100
43.82°, rel. 64
21.51°, rel. 40
68.08°, rel. 28
75.09°, rel. 26
51.05°, rel. 17
35.48°, rel. 12
89.88°, rel. 10

The following is a theoretical powder diffraction line list of FeCuCl4. It was derived from a crystal structure in OQMD, relaxed with PBE, using a wavelength of 1.5418 Å.

Cell and atoms:
Cell: 6.4022 3.4369 6.5021 Å, 90.00 114.23 90.00°
Atoms (fractional coordinates):
Fe (0.0000, 0.0000, 0.0000)
Cu (0.5000, 0.5000, 0.0000)
Cl (0.2382, 0.5000, 0.2411)
Cl (0.2444, 0.0000, 0.7895)
Cl (0.7556, 0.0000, 0.2105)
Cl (0.7618, 0.5000, 0.7589)

Principal peaks in the range 2θ = 10–90°, most intense first:
14.94°, rel. 100
36.63°, rel. 66
33.07°, rel. 42
30.17°, rel. 25
50.49°, rel. 23
49.85°, rel. 22
64.16°, rel. 16
47.71°, rel. 12

The following is a theoretical powder diffraction line list of FeCuICl3. It was derived from a crystal structure in OQMD, relaxed with PBE, using a wavelength of 1.5418 Å.

Cell and atoms:
Cell: 5.6428 5.7298 6.4671 Å, 113.91 115.55 90.21°
Atoms (fractional coordinates):
Fe (0.0000, 0.0000, 0.0000)
Cu (0.2629, 0.7831, 0.5230)
I (0.3983, 0.3852, 0.2607)
Cl (0.1248, 0.6704, 0.7635)
Cl (0.6443, 0.1136, 0.7610)
Cl (0.9089, 0.8982, 0.2607)

Principal peaks in the range 2θ = 10–90°, most intense first:
27.61°, rel. 100
18.01°, rel. 65
17.88°, rel. 53
28.56°, rel. 40
28.40°, rel. 39
45.03°, rel. 23
45.22°, rel. 20
22.13°, rel. 19

The following is a theoretical powder diffraction line list of GaCu6Cl3. It was derived from a crystal structure in OQMD, relaxed with PBE, using a wavelength of 1.5418 Å.

Cell and atoms:
Cell: 6.5502 6.5502 6.5502 Å, 116.55 116.55 96.08°
Atoms (fractional coordinates):
Ga (0.0000, 0.0000, 0.0000)
Cu (0.0000, 0.3273, 0.3273)
Cu (0.0000, 0.6727, 0.6727)
Cu (0.2542, 0.2542, 0.0000)
Cu (0.3273, 0.0000, 0.3273)
Cu (0.6727, 0.0000, 0.6727)
Cu (0.7458, 0.7458, 0.0000)
Cl (0.2500, 0.7500, 0.5000)
Cl (0.5000, 0.5000, 0.0000)
Cl (0.7500, 0.2500, 0.5000)

Principal peaks in the range 2θ = 10–90°, most intense first:
25.87°, rel. 100
16.37°, rel. 44
40.62°, rel. 39
41.23°, rel. 34
49.31°, rel. 31
41.45°, rel. 24
42.47°, rel. 23
50.57°, rel. 22

The following is a theoretical powder diffraction line list of GaCuI2Cl2. It was derived from a crystal structure in OQMD, relaxed with PBE, using a wavelength of 1.5418 Å.

Cell and atoms:
Cell: 6.8728 6.8728 5.8191 Å, 115.03 115.03 104.87°
Atoms (fractional coordinates):
Ga (0.0000, 0.0000, 0.0000)
Cu (0.7637, 0.2363, 0.5000)
I (0.3806, 0.1180, 0.9880)
I (0.8820, 0.6194, 0.0120)
Cl (0.0887, 0.3272, 0.4388)
Cl (0.6728, 0.9113, 0.5612)

Principal peaks in the range 2θ = 10–90°, most intense first:
26.85°, rel. 100
21.21°, rel. 23
43.20°, rel. 22
44.83°, rel. 20
16.80°, rel. 20
45.62°, rel. 19
16.27°, rel. 17
50.89°, rel. 15

The following is a theoretical powder diffraction line list of GaCuICl3. It was derived from a crystal structure in OQMD, relaxed with PBE, using a wavelength of 1.5418 Å.

Cell and atoms:
Cell: 5.6684 5.7548 6.4898 Å, 113.16 115.34 90.19°
Atoms (fractional coordinates):
Ga (0.0000, 0.0000, 0.0000)
Cu (0.7431, 0.2329, 0.4888)
I (0.6014, 0.6210, 0.7393)
Cl (0.1033, 0.1143, 0.7517)
Cl (0.3613, 0.9010, 0.2470)
Cl (0.8941, 0.3351, 0.2439)

Principal peaks in the range 2θ = 10–90°, most intense first:
18.02°, rel. 100
27.20°, rel. 73
27.31°, rel. 72
28.53°, rel. 58
28.28°, rel. 55
17.83°, rel. 47
44.85°, rel. 37
45.02°, rel. 36

The following is a theoretical powder diffraction line list of Ga6CuSb7Te8Cl24. It was derived from a crystal structure in OQMD, relaxed with PBE, using a wavelength of 1.5418 Å.

Cell and atoms:
Cell: 11.8020 12.1727 12.5508 Å, 112.36 111.59 100.09°
Atoms (fractional coordinates):
Ga (0.0243, 0.2135, 0.3002)
Ga (0.0795, 0.2861, 0.8913)
Ga (0.3834, 0.6686, 0.7452)
Ga (0.6166, 0.3314, 0.2548)
Ga (0.9205, 0.7139, 0.1087)
Ga (0.9757, 0.7865, 0.6998)
Cu (0.0000, 0.5000, 0.5000)
Sb (0.2918, 0.6960, 0.1360)
Sb (0.3522, 0.2752, 0.5941)
Sb (0.3581, 0.0391, 0.7567)
Sb (0.5000, 0.0000, 0.5000)
Sb (0.6419, 0.9609, 0.2433)
Sb (0.6478, 0.7248, 0.4059)
Sb (0.7082, 0.3040, 0.8640)
Te (0.2402, 0.0031, 0.4922)
Te (0.3930, 0.7120, 0.3908)
Te (0.3926, 0.9686, 0.2249)
Te (0.4639, 0.3145, 0.8639)
Te (0.5361, 0.6855, 0.1361)
Te (0.6074, 0.0314, 0.7751)
Te (0.6070, 0.2880, 0.6092)
Te (0.7598, 0.9969, 0.5078)
Cl (0.0262, 0.6057, 0.1840)
Cl (0.0319, 0.2053, 0.4746)
Cl (0.0413, 0.8219, 0.0597)
Cl (0.0522, 0.4194, 0.3464)
Cl (0.1217, 0.1581, 0.7431)
Cl (0.1568, 0.9145, 0.8779)
Cl (0.2038, 0.1916, 0.2928)
Cl (0.2522, 0.7308, 0.6203)
Cl (0.2718, 0.4172, 0.0670)
Cl (0.2721, 0.5368, 0.7827)
Cl (0.4762, 0.1551, 0.0705)
Cl (0.4792, 0.5712, 0.6403)
Cl (0.5208, 0.4288, 0.3597)
Cl (0.5238, 0.8449, 0.9295)
Cl (0.7279, 0.4632, 0.2173)
Cl (0.7282, 0.5828, 0.9330)
Cl (0.7478, 0.2692, 0.3797)
Cl (0.7962, 0.8084, 0.7072)
Cl (0.8432, 0.0855, 0.1221)
Cl (0.8783, 0.8419, 0.2569)
Cl (0.9478, 0.5806, 0.6536)
Cl (0.9587, 0.1781, 0.9403)
Cl (0.9681, 0.7947, 0.5254)
Cl (0.9738, 0.3943, 0.8160)

Principal peaks in the range 2θ = 10–90°, most intense first:
30.82°, rel. 100
30.62°, rel. 56
23.26°, rel. 40
25.51°, rel. 39
11.51°, rel. 37
31.83°, rel. 33
41.42°, rel. 33
23.72°, rel. 29